LiCa3Ag8: theoretical powder X-ray diffraction pattern (Cu Kα (λ = 1.5418 Å)), based on a DFT-relaxed cell (PBE, Alexandria).
Neutral-atom scattering factors, no anomalous dispersion.

Peak list (10 most intense, 2θ from 10° to 90°, in order of falling intensity)
| 2θ (°) | I_rel |
| --- | --- |
| 36.91 | 100 |
| 38.62 | 81 |
| 19.03 | 77 |
| 65.36 | 30 |
| 59.47 | 30 |
| 44.89 | 29 |
| 78.57 | 28 |
| 49.17 | 19 |
| 68.76 | 14 |
| 77.50 | 10 |

```
12
Lattice="2.855 1.648 9.328 -2.855 1.648 9.328 0.000 -3.297 9.328" Properties=species:S:1:pos:R:3 pbc="T T T"
Li 0.000 0.000 0.000
Ca 0.000 0.000 10.187
Ca 0.000 0.000 13.792
Ca 0.000 0.000 24.558
Ag 0.000 0.000 5.097
Ag -1.428 -0.825 21.401
Ag 0.000 -1.640 16.763
Ag -1.420 0.820 16.763
Ag 0.000 0.000 19.077
Ag 1.420 0.820 16.763
Ag 1.428 -0.825 21.401
Ag 0.000 1.649 21.401
```

Li5Ca3Ag2: theoretical powder X-ray diffraction pattern (Cu Kα (λ = 1.5418 Å)), based on a DFT-relaxed cell (PBE, Alexandria).
Neutral-atom scattering factors, no anomalous dispersion.

Peak list (10 most intense, 2θ from 10° to 90°, in order of falling intensity)
| 2θ (°) | I_rel |
| --- | --- |
| 20.20 | 100 |
| 36.73 | 70 |
| 11.79 | 66 |
| 33.58 | 66 |
| 26.54 | 51 |
| 30.35 | 49 |
| 18.69 | 36 |
| 39.66 | 28 |
| 23.45 | 25 |
| 27.65 | 21 |

```
20
Lattice="10.619 0.000 0.000 0.000 10.619 0.000 0.000 0.000 4.396" Properties=species:S:1:pos:R:3 pbc="T T T"
Li 0.000 5.309 0.000
Li 0.747 2.440 0.000
Li 2.440 9.871 0.000
Li 2.869 4.562 0.000
Li 4.562 7.750 0.000
Li 5.309 0.000 0.000
Li 6.057 2.869 0.000
Li 7.750 6.057 0.000
Li 8.178 0.747 0.000
Li 9.871 8.178 0.000
Ca 0.000 0.000 2.198
Ca 1.881 7.190 2.198
Ca 3.428 1.881 2.198
Ca 5.309 5.309 2.198
Ca 7.190 8.738 2.198
Ca 8.738 3.428 2.198
Ag 1.208 4.101 2.198
Ag 4.101 9.410 2.198
Ag 6.518 1.208 2.198
Ag 9.410 6.518 2.198
```

LiCa2Mg2Ag5: theoretical powder X-ray diffraction pattern (Cu Kα (λ = 1.5418 Å)), based on a DFT-relaxed cell (PBE, Alexandria).
Neutral-atom scattering factors, no anomalous dispersion.

Peak list (10 most intense, 2θ from 10° to 90°, in order of falling intensity)
| 2θ (°) | I_rel |
| --- | --- |
| 35.85 | 100 |
| 33.88 | 75 |
| 24.43 | 53 |
| 34.90 | 45 |
| 29.50 | 40 |
| 25.83 | 39 |
| 38.68 | 38 |
| 59.26 | 28 |
| 42.21 | 27 |
| 50.06 | 20 |

```
20
Lattice="10.908 0.000 0.000 0.000 10.908 0.000 0.000 0.000 3.644" Properties=species:S:1:pos:R:3 pbc="T T T"
Li 0.000 0.000 0.000
Li 5.454 5.454 0.000
Ca 1.880 3.574 0.000
Ca 3.574 9.028 0.000
Ca 7.334 1.880 0.000
Ca 9.028 7.334 0.000
Mg 1.411 6.866 0.000
Mg 4.043 1.411 0.000
Mg 6.866 9.497 0.000
Mg 9.497 4.043 0.000
Ag 0.000 5.454 1.822
Ag 0.600 8.874 1.822
Ag 2.034 0.600 1.822
Ag 3.420 6.054 1.822
Ag 4.855 3.420 1.822
Ag 5.454 0.000 1.822
Ag 6.054 7.488 1.822
Ag 7.488 4.855 1.822
Ag 8.874 10.309 1.822
Ag 10.309 2.034 1.822
```